Starting from a DFT-relaxed cell (GGA+U, the Materials Project), the powder X-ray diffraction pattern of BaEuYVO6 was simulated for Cu Ka.

Atomic structure:
a = 5.863 Å, b = 5.863 Å, c = 5.863 Å
α = 60.00°, β = 60.00°, γ = 60.00°
Fractional positions:
1 Ba 0.000 0.000 0.000
2 Eu 0.500 0.500 0.500
3 Y 0.250 0.250 0.250
4 V 0.750 0.750 0.750
5 O 0.519 0.519 0.981
6 O 0.519 0.981 0.519
7 O 0.519 0.981 0.981
8 O 0.981 0.519 0.519
9 O 0.981 0.519 0.981
10 O 0.981 0.981 0.519

Most intense lines, 2θ from 10° to 90°, in order of falling intensity:
2θ = 30.49°, d = 2.932 Å, I = 100.0
2θ = 54.19°, d = 1.693 Å, I = 38.8
2θ = 43.67°, d = 2.073 Å, I = 31.5
2θ = 88.17°, d = 1.108 Å, I = 21.0
2θ = 63.46°, d = 1.466 Å, I = 19.0
2θ = 72.03°, d = 1.311 Å, I = 17.5
2θ = 37.58°, d = 2.394 Å, I = 14.0
2θ = 21.43°, d = 4.146 Å, I = 7.9
2θ = 80.20°, d = 1.197 Å, I = 6.2
2θ = 49.14°, d = 1.854 Å, I = 4.8
2θ = 76.15°, d = 1.250 Å, I = 4.3
2θ = 67.81°, d = 1.382 Å, I = 2.7